Theoretical XRD peak list
Compound: ZrTiCuS4
Radiation: Cu Kα (λ = 1.5418 Å)
Structure: a PBE-relaxed structure

Most intense lines, 2θ = 10–90°, sorted by position:
hkl  d/Å  I/Imax
1 0 1  5.897  218
1 1 2  3.626  321
1 2 1  3.105  896
1 0 3  3.089  659
2 1 1  3.083  402
2 2 0  2.564  809
3 2 1  1.971  429
0 4 0  1.826  254
2 2 4  1.813  1000
4 0 0  1.803  249

Atomic structure:
```
data_ZrTiCuS4
_cell_length_a 7.2112
_cell_length_b 7.3036
_cell_length_c 10.2472
_cell_angle_alpha 90.00
_cell_angle_beta 90.00
_cell_angle_gamma 90.00
_space_group_name_H-M_alt 'I m m a'
_space_group_IT_number 74
_space_group_name_Hall '-I 2b 2'
loop_
_atom_site_label
_atom_site_fract_x
_atom_site_fract_y
_atom_site_fract_z
Zr1 0.0000 0.0000 0.0000
Ti1 0.2500 0.2500 0.2500
Cu1 0.0000 0.2500 0.6274
S1 0.0000 0.0140 0.2519
S2 0.2494 0.2500 0.4918
```